1.
Starting from a cell relaxed with PBE, the powder diffractogram of K2BaCdSb2 was simulated for a wavelength of 1.5418 Å.
Intensities are scaled so that the largest is 100.

Structural model:
```
data_K2BaCdSb2
_symmetry_space_group_name_H-M 'P 1'
_symmetry_Int_Tables_number 1
_cell_length_a 5.1050
_cell_length_b 10.0053
_cell_length_c 8.6485
_cell_angle_alpha 90.00
_cell_angle_beta 90.00
_cell_angle_gamma 90.00
loop_
_symmetry_equiv_pos_as_xyz
'x,y,z'
loop_
_atom_site_label
_atom_site_type_symbol
_atom_site_fract_x
_atom_site_fract_y
_atom_site_fract_z
_atom_site_occupancy
K1 K 0.0000 0.0777 0.0000 1
K2 K 0.0000 0.9223 0.5000 1
K3 K 0.5000 0.1606 0.3247 1
K4 K 0.5000 0.8394 0.8247 1
Ba1 Ba 0.5000 0.4501 0.9788 1
Ba2 Ba 0.5000 0.5499 0.4788 1
Cd1 Cd 0.0000 0.3230 0.6338 1
Cd2 Cd 0.0000 0.6770 0.1338 1
Sb1 Sb 0.0000 0.3867 0.2682 1
Sb2 Sb 0.0000 0.6133 0.7682 1
Sb3 Sb 0.5000 0.1807 0.7189 1
Sb4 Sb 0.5000 0.8193 0.2189 1
```

The 12 most intense peaks (10 to 90 degrees two-theta), by angle:
13.5°, 6.543 Å, rel. 26; 22.1°, 4.025 Å, rel. 19; 27.0°, 3.302 Å, rel. 65; 27.3°, 3.271 Å, rel. 29; 28.5°, 3.134 Å, rel. 100; 28.7°, 3.112 Å, rel. 21; 32.1°, 2.792 Å, rel. 63; 32.3°, 2.770 Å, rel. 26; 32.5°, 2.754 Å, rel. 21; 35.2°, 2.553 Å, rel. 45; 35.9°, 2.498 Å, rel. 24; 36.9°, 2.435 Å, rel. 20

***

2.
Starting from a cell relaxed with PBE, the powder diffractogram of BaMg6Cd was simulated for a wavelength of 1.5418 Å.
Intensities are scaled so that the largest is 100.

Structural model:
```
data_BaMg6Cd
_symmetry_space_group_name_H-M 'P 1'
_symmetry_Int_Tables_number 1
_cell_length_a 5.1702
_cell_length_b 7.0125
_cell_length_c 7.0125
_cell_angle_alpha 60.47
_cell_angle_beta 90.00
_cell_angle_gamma 90.00
loop_
_symmetry_equiv_pos_as_xyz
'x,y,z'
loop_
_atom_site_label
_atom_site_type_symbol
_atom_site_fract_x
_atom_site_fract_y
_atom_site_fract_z
_atom_site_occupancy
Ba1 Ba 0.0000 0.0000 0.0000 1
Mg1 Mg 0.0000 0.5062 0.9914 1
Mg2 Mg 0.0000 0.5095 0.5095 1
Mg3 Mg 0.0000 0.9914 0.5062 1
Mg4 Mg 0.5000 0.3360 0.3360 1
Mg5 Mg 0.5000 0.3745 0.8194 1
Mg6 Mg 0.5000 0.8194 0.3745 1
Cd1 Cd 0.5000 0.8161 0.8161 1
```

The 12 most intense peaks (10 to 90 degrees two-theta), by angle:
14.5°, 6.102 Å, rel. 81; 22.6°, 3.938 Å, rel. 72; 25.2°, 3.531 Å, rel. 17; 29.3°, 3.051 Å, rel. 20; 30.8°, 2.902 Å, rel. 38; 34.1°, 2.628 Å, rel. 100; 34.3°, 2.614 Å, rel. 40; 34.7°, 2.585 Å, rel. 31; 37.8°, 2.380 Å, rel. 17; 52.2°, 1.753 Å, rel. 16; 61.8°, 1.501 Å, rel. 17; 64.2°, 1.451 Å, rel. 17

***

3.
Starting from a cell relaxed with PBE, the powder diffractogram of BaMg14Cd was simulated for a wavelength of 1.5418 Å.
Intensities are scaled so that the largest is 100.

Structural model:
```
data_BaMg14Cd
_symmetry_space_group_name_H-M 'P 1'
_symmetry_Int_Tables_number 1
_cell_length_a 6.6425
_cell_length_b 6.6425
_cell_length_c 10.5452
_cell_angle_alpha 90.00
_cell_angle_beta 90.00
_cell_angle_gamma 120.00
loop_
_symmetry_equiv_pos_as_xyz
'x,y,z'
loop_
_atom_site_label
_atom_site_type_symbol
_atom_site_fract_x
_atom_site_fract_y
_atom_site_fract_z
_atom_site_occupancy
Ba1 Ba 0.0000 0.0000 0.0000 1
Mg1 Mg 0.0126 0.5063 0.0000 1
Mg2 Mg 0.1723 0.3446 0.2649 1
Mg3 Mg 0.1723 0.3446 0.7351 1
Mg4 Mg 0.1723 0.8277 0.2649 1
Mg5 Mg 0.1723 0.8277 0.7351 1
Mg6 Mg 0.4937 0.5063 0.0000 1
Mg7 Mg 0.4937 0.9874 0.0000 1
Mg8 Mg 0.5018 0.0035 0.5000 1
Mg9 Mg 0.5018 0.4982 0.5000 1
Mg10 Mg 0.6554 0.8277 0.2649 1
Mg11 Mg 0.6554 0.8277 0.7351 1
Mg12 Mg 0.6667 0.3333 0.2459 1
Mg13 Mg 0.6667 0.3333 0.7541 1
Mg14 Mg 0.9965 0.4982 0.5000 1
Cd1 Cd 0.0000 0.0000 0.5000 1
```

The 12 most intense peaks (10 to 90 degrees two-theta), by angle:
15.4°, 5.753 Å, rel. 48; 16.8°, 5.273 Å, rel. 14; 22.9°, 3.887 Å, rel. 44; 31.1°, 2.876 Å, rel. 31; 31.8°, 2.810 Å, rel. 18; 34.0°, 2.636 Å, rel. 24; 35.6°, 2.525 Å, rel. 100; 46.7°, 1.943 Å, rel. 19; 55.3°, 1.661 Å, rel. 17; 61.9°, 1.500 Å, rel. 18; 66.6°, 1.405 Å, rel. 19; 67.5°, 1.387 Å, rel. 14

***

4.
Starting from a cell relaxed with PBE, the powder diffractogram of BaMg14Cd was simulated for a wavelength of 1.5418 Å.
Intensities are scaled so that the largest is 100.

Structural model:
```
data_BaMg14Cd
_symmetry_space_group_name_H-M 'P 1'
_symmetry_Int_Tables_number 1
_cell_length_a 10.5595
_cell_length_b 6.6362
_cell_length_c 6.6362
_cell_angle_alpha 60.17
_cell_angle_beta 90.00
_cell_angle_gamma 90.00
loop_
_symmetry_equiv_pos_as_xyz
'x,y,z'
loop_
_atom_site_label
_atom_site_type_symbol
_atom_site_fract_x
_atom_site_fract_y
_atom_site_fract_z
_atom_site_occupancy
Ba1 Ba 0.0000 0.0000 0.0000 1
Mg1 Mg 0.0000 0.0171 0.4905 1
Mg2 Mg 0.0000 0.4905 0.0171 1
Mg3 Mg 0.2438 0.6664 0.6664 1
Mg4 Mg 0.2645 0.1736 0.6545 1
Mg5 Mg 0.2645 0.6545 0.1736 1
Mg6 Mg 0.2650 0.1730 0.1730 1
Mg7 Mg 0.5000 0.0000 0.0000 1
Mg8 Mg 0.5000 0.5017 0.5017 1
Mg9 Mg 0.5000 0.5019 0.9967 1
Mg10 Mg 0.5000 0.9967 0.5019 1
Mg11 Mg 0.7350 0.1730 0.1730 1
Mg12 Mg 0.7355 0.1736 0.6545 1
Mg13 Mg 0.7355 0.6545 0.1736 1
Mg14 Mg 0.7562 0.6664 0.6664 1
Cd1 Cd 0.0000 0.4903 0.4903 1
```

The 12 most intense peaks (10 to 90 degrees two-theta), by angle:
15.4°, 5.742 Å, rel. 16; 16.8°, 5.280 Å, rel. 15; 17.6°, 5.045 Å, rel. 25; 22.9°, 3.887 Å, rel. 15; 31.1°, 2.876 Å, rel. 31; 32.3°, 2.775 Å, rel. 18; 34.0°, 2.640 Å, rel. 24; 35.5°, 2.526 Å, rel. 100; 46.7°, 1.945 Å, rel. 19; 55.4°, 1.659 Å, rel. 11; 61.8°, 1.501 Å, rel. 20; 66.6°, 1.405 Å, rel. 12

***

5.
Starting from a cell relaxed with PBE, the powder diffractogram of BaMg6Cd was simulated for a wavelength of 1.5418 Å.
Intensities are scaled so that the largest is 100.

Structural model:
```
data_BaMg6Cd
_symmetry_space_group_name_H-M 'P 1'
_symmetry_Int_Tables_number 1
_cell_length_a 5.2078
_cell_length_b 7.0138
_cell_length_c 7.0138
_cell_angle_alpha 59.04
_cell_angle_beta 90.00
_cell_angle_gamma 90.00
loop_
_symmetry_equiv_pos_as_xyz
'x,y,z'
loop_
_atom_site_label
_atom_site_type_symbol
_atom_site_fract_x
_atom_site_fract_y
_atom_site_fract_z
_atom_site_occupancy
Ba1 Ba 0.0000 0.0000 0.0000 1
Mg1 Mg 0.0000 0.0116 0.4920 1
Mg2 Mg 0.0000 0.4920 0.0116 1
Mg3 Mg 0.5000 0.1804 0.1804 1
Mg4 Mg 0.5000 0.1812 0.6326 1
Mg5 Mg 0.5000 0.6326 0.1812 1
Mg6 Mg 0.5000 0.6618 0.6618 1
Cd1 Cd 0.0000 0.4876 0.4876 1
```

The 12 most intense peaks (10 to 90 degrees two-theta), by angle:
14.5°, 6.103 Å, rel. 41; 17.0°, 5.208 Å, rel. 31; 22.4°, 3.962 Å, rel. 36; 29.3°, 3.052 Å, rel. 16; 29.7°, 3.007 Å, rel. 29; 31.1°, 2.879 Å, rel. 14; 34.1°, 2.633 Å, rel. 38; 34.4°, 2.604 Å, rel. 100; 46.1°, 1.968 Å, rel. 17; 52.2°, 1.753 Å, rel. 13; 61.7°, 1.503 Å, rel. 17; 64.0°, 1.454 Å, rel. 14